This entry pairs a crystal structure of K2TlRhF6 with its simulated powder diffractogram. Radiation: CuKα. Structure: a cell relaxed with GGA-PBE.

Main lines, by angle (10° ≤ 2θ ≤ 90°):
two_theta, I_rel, index
19.3, 66, 2 0 0
27.5, 100, 2 2 0
39.2, 37, 4 0 0
44.1, 30, 4 2 0
48.6, 39, 4 2 2
56.7, 23, 4 4 0
64.1, 20, 6 2 0
77.8, 22, 6 4 2

Structure:
```
data_K2TlRhF6
_chemical_formula_sum 'K8 Tl4 Rh4 F24'
_symmetry_space_group_name_H-M 'F m -3 m'
_symmetry_Int_Tables_number 225
_symmetry_space_group_name_Hall '-F 4 2 3'
_cell_length_a 9.1844
_cell_length_b 9.1844
_cell_length_c 9.1844
_cell_angle_alpha 90.00
_cell_angle_beta 90.00
_cell_angle_gamma 90.00
loop_
_atom_site_label
_atom_site_type_symbol
_atom_site_fract_x
_atom_site_fract_y
_atom_site_fract_z
K1 K 0.2500 0.2500 0.2500
Tl1 Tl 0.0000 0.0000 0.0000
Rh1 Rh 0.0000 0.0000 0.5000
F1 F 0.0000 0.0000 0.2802
```

This entry pairs a crystal structure of K3RuF6 with its simulated powder diffractogram. Radiation: CuKα. Structure: a cell relaxed with GGA-PBE.

Main lines, by angle (10° ≤ 2θ ≤ 90°):
two_theta, I_rel, index
13.9, 54, 0 0 1
14.2, 100, 1 0 0
17.0, 12, 1 0 -1
28.1, 8, 0 0 2
28.7, 7, 0 2 0
28.8, 7, 2 0 0
34.4, 11, 0 2 -2
44.4, 13, 2 -2 2

Structure:
```
data_K3RuF6
_chemical_formula_sum 'K3 Ru1 F6'
_symmetry_space_group_name_H-M 'P -1'
_symmetry_Int_Tables_number 2
_cell_length_a 6.6822
_cell_length_b 6.7096
_cell_length_c 6.7527
_cell_angle_alpha 101.81
_cell_angle_beta 101.83
_cell_angle_gamma 105.15
loop_
_symmetry_equiv_pos_as_xyz
'x,y,z'
'-x,-y,-z'
loop_
_atom_site_label
_atom_site_type_symbol
_atom_site_fract_x
_atom_site_fract_y
_atom_site_fract_z
K1 K 0.0000 0.0000 0.0000
K2 K 0.0000 0.5000 0.5000
K3 K 0.5000 0.0000 0.5000
Ru1 Ru 0.0000 0.0000 0.5000
F1 F 0.0622 0.7828 0.2814
F2 F 0.2150 0.9309 0.7169
F3 F 0.2302 0.2272 0.4376
```